Theoretical powder X-ray diffraction pattern
Compound: PuMoC2
Radiation: copper Kα
Structure: a structure optimized by DFT (PBE)
Intensities are scaled so that the largest is 100.

Largest 10 diffraction maxima, low angle first, 10 to 90 degrees two-theta:
2theta  Rel. int.  index
28.4  13  0 1 1
29.1  23  1 0 3
32.5  49  2 0 1
32.8  31  0 0 4
35.6  100  1 1 2
40.2  32  2 0 3
52.8  14  2 0 5
56.7  18  3 1 1
60.4  18  1 1 6
62.0  15  3 1 3

```
data_PuMoC2
_chemical_formula_sum 'Pu4 Mo4 C8'
_cell_length_a 5.688
_cell_length_b 3.276
_cell_length_c 10.931
_cell_angle_alpha 90.00
_cell_angle_beta 90.00
_cell_angle_gamma 90.00
_symmetry_space_group_name_H-M 'P 1'
_symmetry_Int_Tables_number 1
loop_
_symmetry_equiv_pos_as_xyz
'x,y,z'
loop_
_atom_site_label
_atom_site_type_symbol
_atom_site_fract_x
_atom_site_fract_y
_atom_site_fract_z
_atom_site_occupancy
Pu1 Pu 0.083 0.250 0.141 1
Pu2 Pu 0.417 0.750 0.641 1
Pu3 Pu 0.583 0.250 0.359 1
Pu4 Pu 0.917 0.750 0.859 1
Mo1 Mo 0.085 0.750 0.395 1
Mo2 Mo 0.415 0.250 0.895 1
Mo3 Mo 0.585 0.750 0.105 1
Mo4 Mo 0.915 0.250 0.605 1
C1 C 0.164 0.250 0.754 1
C2 C 0.238 0.250 0.489 1
C3 C 0.262 0.750 0.989 1
C4 C 0.336 0.750 0.254 1
C5 C 0.664 0.250 0.746 1
C6 C 0.738 0.250 0.011 1
C7 C 0.762 0.750 0.511 1
C8 C 0.836 0.750 0.246 1
```

***

Theoretical powder X-ray diffraction pattern
Compound: Mg15Bi
Radiation: copper Kα
Structure: a structure optimized by DFT (PBE)
Intensities are scaled so that the largest is 100.

Largest 10 diffraction maxima, low angle first, 10 to 90 degrees two-theta:
2theta  Rel. int.  index
16.0  42  1 0 0
18.1  66  1 0 1
23.3  38  1 0 2
29.1  22  1 1 1
30.1  20  1 0 3
32.2  29  2 0 0
34.1  26  0 0 4
36.6  100  2 0 2
62.6  20  2 0 6
68.5  20  2 2 4

```
data_Mg15Bi
_chemical_formula_sum 'Mg15 Bi1'
_cell_length_a 6.413
_cell_length_b 6.413
_cell_length_c 10.528
_cell_angle_alpha 90.00
_cell_angle_beta 90.00
_cell_angle_gamma 120.00
_symmetry_space_group_name_H-M 'P 1'
_symmetry_Int_Tables_number 1
loop_
_symmetry_equiv_pos_as_xyz
'x,y,z'
loop_
_atom_site_label
_atom_site_type_symbol
_atom_site_fract_x
_atom_site_fract_y
_atom_site_fract_z
_atom_site_occupancy
Mg1 Mg 0.000 0.000 0.000 1
Mg2 Mg 0.000 0.500 0.000 1
Mg3 Mg 0.002 0.501 0.500 1
Mg4 Mg 0.333 0.667 0.250 1
Mg5 Mg 0.333 0.667 0.750 1
Mg6 Mg 0.337 0.169 0.247 1
Mg7 Mg 0.337 0.169 0.753 1
Mg8 Mg 0.499 0.501 0.500 1
Mg9 Mg 0.499 0.998 0.500 1
Mg10 Mg 0.500 0.000 0.000 1
Mg11 Mg 0.500 0.500 0.000 1
Mg12 Mg 0.831 0.169 0.247 1
Mg13 Mg 0.831 0.169 0.753 1
Mg14 Mg 0.831 0.663 0.247 1
Mg15 Mg 0.831 0.663 0.753 1
Bi1 Bi 0.000 0.000 0.500 1
```